This entry pairs a crystal structure of NaMgCd3Hg with its theoretical powder diffraction line list. Radiation: Cu Kα, 1.54184 Å. Structure: DFT lattice parameters and positions (GGA-PBE).

Principal peaks in the range 2θ from 10° to 80°, sorted by position:
| d [Å] | two_theta | I/Imax |
| --- | --- | --- |
| 4.278 | 20.8 | 58 |
| 2.740 | 32.7 | 50 |
| 2.604 | 34.4 | 29 |
| 2.521 | 35.6 | 45 |
| 2.479 | 36.2 | 100 |
| 2.377 | 37.8 | 29 |
| 2.173 | 41.6 | 26 |
| 1.341 | 70.2 | 22 |

Cell and atoms:
Cell lengths 8.2598, 8.2598, 10.0830 Å; angles 90.00, 90.00, 156.58 degrees
Positions (direct):
Na 0.2102 0.7898 0.7500
Na 0.7898 0.2102 0.2500
Mg 0.0000 0.0000 0.0000
Mg 0.0000 0.0000 0.5000
Cd 0.1123 0.8877 0.2500
Cd 0.3356 0.6644 0.5094
Cd 0.3356 0.6644 0.9906
Cd 0.6644 0.3356 0.0094
Cd 0.6644 0.3356 0.4906
Cd 0.8877 0.1123 0.7500
Hg 0.4506 0.5494 0.2500
Hg 0.5494 0.4506 0.7500

This entry pairs a crystal structure of Tb7Ce2Tm2 with its theoretical powder diffraction line list. Radiation: Cu Kα, 1.54184 Å. Structure: DFT lattice parameters and positions (GGA-PBE).

Principal peaks in the range 2θ from 10° to 80°, sorted by position:
| d [Å] | two_theta | I/Imax |
| --- | --- | --- |
| 3.410 | 26.1 | 25 |
| 2.896 | 30.9 | 50 |
| 2.871 | 31.2 | 29 |
| 2.792 | 32.1 | 100 |
| 2.751 | 32.6 | 25 |
| 2.622 | 34.2 | 65 |
| 1.994 | 45.5 | 16 |
| 1.651 | 55.7 | 16 |

Cell and atoms:
Cell lengths 8.0020, 8.0020, 5.9701 Å; angles 105.31, 105.31, 92.73 degrees
Positions (direct):
Tb 0.0000 0.0000 0.0000
Tb 0.0665 0.5883 0.8242
Tb 0.4082 0.4082 0.1931
Tb 0.4117 0.9335 0.1758
Tb 0.5883 0.0665 0.8242
Tb 0.5918 0.5918 0.8069
Tb 0.9335 0.4117 0.1758
Ce 0.2142 0.7858 0.5000
Ce 0.7858 0.2142 0.5000
Tm 0.2294 0.2294 0.5840
Tm 0.7706 0.7706 0.4160

This entry pairs a crystal structure of RbCdCo2Cl8 with its theoretical powder diffraction line list. Radiation: Cu Kα, 1.54184 Å. Structure: DFT lattice parameters and positions (GGA-PBE).

Principal peaks in the range 2θ from 10° to 80°, sorted by position:
| d [Å] | two_theta | I/Imax |
| --- | --- | --- |
| 4.385 | 20.3 | 100 |
| 3.217 | 27.7 | 41 |
| 3.047 | 29.3 | 29 |
| 2.996 | 29.8 | 27 |
| 2.662 | 33.7 | 38 |
| 2.594 | 34.6 | 25 |
| 1.907 | 47.7 | 41 |
| 1.858 | 49.0 | 34 |

Cell and atoms:
Cell lengths 10.1770, 10.1770, 10.1770 Å; angles 36.86, 36.86, 36.86 degrees
Positions (direct):
Rb 0.0000 0.0000 0.0000
Cd 0.5000 0.5000 0.5000
Co 0.2457 0.2457 0.2457
Co 0.7543 0.7543 0.7543
Cl 0.1071 0.4466 0.7799
Cl 0.2201 0.8929 0.5534
Cl 0.3224 0.3224 0.3224
Cl 0.4466 0.7799 0.1071
Cl 0.5534 0.2201 0.8929
Cl 0.6776 0.6776 0.6776
Cl 0.7799 0.1071 0.4466
Cl 0.8929 0.5534 0.2201

This entry pairs a crystal structure of CsCa3Cu4Br12 with its theoretical powder diffraction line list. Radiation: Cu Kα, 1.54184 Å. Structure: DFT lattice parameters and positions (GGA-PBE).

Principal peaks in the range 2θ from 10° to 80°, sorted by position:
| d [Å] | two_theta | I/Imax |
| --- | --- | --- |
| 4.466 | 19.9 | 35 |
| 4.256 | 20.9 | 100 |
| 3.787 | 23.5 | 60 |
| 3.691 | 24.1 | 59 |
| 3.400 | 26.2 | 74 |
| 3.019 | 29.6 | 64 |
| 2.058 | 44.0 | 50 |
| 1.747 | 52.4 | 39 |

Cell and atoms:
Cell lengths 9.3662, 9.3662, 9.3662 Å; angles 104.76, 104.76, 104.76 degrees
Positions (direct):
Cs 0.0000 0.0000 0.0000
Ca 0.0000 0.5629 0.4371
Ca 0.4371 0.0000 0.5629
Ca 0.5629 0.4371 0.0000
Cu 0.0734 0.5000 0.9266
Cu 0.5000 0.5000 0.5000
Cu 0.5000 0.9266 0.0734
Cu 0.9266 0.0734 0.5000
Br 0.0104 0.6364 0.7580
Br 0.0923 0.9077 0.5000
Br 0.2420 0.3636 0.9896
Br 0.3400 0.6600 0.5000
Br 0.3636 0.9896 0.2420
Br 0.5000 0.0923 0.9077
Br 0.5000 0.3400 0.6600
Br 0.6364 0.7580 0.0104
Br 0.6600 0.5000 0.3400
Br 0.7580 0.0104 0.6364
Br 0.9077 0.5000 0.0923
Br 0.9896 0.2420 0.3636

This entry pairs a crystal structure of Pr3MgNi14 with its theoretical powder diffraction line list. Radiation: Cu Kα, 1.54184 Å. Structure: DFT lattice parameters and positions (GGA-PBE).

Principal peaks in the range 2θ from 10° to 80°, sorted by position:
| d [Å] | two_theta | I/Imax |
| --- | --- | --- |
| 2.772 | 32.3 | 24 |
| 2.615 | 34.3 | 18 |
| 2.496 | 36.0 | 33 |
| 2.158 | 41.9 | 30 |
| 2.120 | 42.7 | 100 |
| 2.006 | 45.2 | 22 |
| 1.356 | 69.3 | 22 |
| 1.248 | 76.3 | 18 |

Cell and atoms:
Cell lengths 12.3787, 12.3787, 12.3787 Å; angles 23.27, 23.27, 23.27 degrees
Positions (direct):
Pr 0.0000 0.0000 0.0000
Pr 0.0996 0.0996 0.0996
Pr 0.2057 0.2057 0.2057
Mg 0.2974 0.2974 0.2974
Ni 0.0418 0.5401 0.5401
Ni 0.1506 0.6514 0.6514
Ni 0.2627 0.7607 0.7607
Ni 0.4289 0.4289 0.4289
Ni 0.5390 0.5390 0.5390
Ni 0.5401 0.0418 0.5401
Ni 0.5401 0.5401 0.0418
Ni 0.6501 0.6501 0.6501
Ni 0.6514 0.1506 0.6514
Ni 0.6514 0.6514 0.1506
Ni 0.7607 0.2627 0.7607
Ni 0.7607 0.7607 0.2627
Ni 0.7623 0.7623 0.7623
Ni 0.8731 0.8731 0.8731

This entry pairs a crystal structure of SmEuLuSc with its theoretical powder diffraction line list. Radiation: Cu Kα, 1.54184 Å. Structure: DFT lattice parameters and positions (GGA-PBE).

Principal peaks in the range 2θ from 10° to 80°, sorted by position:
| d [Å] | two_theta | I/Imax |
| --- | --- | --- |
| 4.576 | 19.4 | 13 |
| 2.803 | 31.9 | 100 |
| 2.390 | 37.6 | 8 |
| 1.982 | 45.8 | 18 |
| 1.819 | 50.2 | 4 |
| 1.618 | 56.9 | 38 |
| 1.401 | 66.8 | 12 |
| 1.253 | 75.9 | 16 |

Cell and atoms:
Cell lengths 7.9267, 7.9267, 7.9267 Å; angles 90.00, 90.00, 90.00 degrees
Positions (direct):
Sm 0.0000 0.0000 0.0000
Sm 0.0000 0.5000 0.5000
Sm 0.5000 0.0000 0.5000
Sm 0.5000 0.5000 0.0000
Eu 0.0000 0.0000 0.5000
Eu 0.0000 0.5000 0.0000
Eu 0.5000 0.0000 0.0000
Eu 0.5000 0.5000 0.5000
Lu 0.2500 0.2500 0.2500
Lu 0.2500 0.7500 0.7500
Lu 0.7500 0.2500 0.7500
Lu 0.7500 0.7500 0.2500
Sc 0.2500 0.2500 0.7500
Sc 0.2500 0.7500 0.2500
Sc 0.7500 0.2500 0.2500
Sc 0.7500 0.7500 0.7500